Theoretical X-ray diffraction stick pattern of NdEuGe4O12 for λ = 1.5418 Å (Cu Kα), from a DFT-relaxed cell (GGA-PBE, the Materials Project).

Cell and atoms:
abc: 6.757 6.757 9.525
angles: 90.00 90.00 90.00
Space group P4/mmm (No. 123)
One atom of each set of equivalent atoms:
Nd  0.000  0.000  0.000
Eu  0.500  0.500  0.500
Ge  0.000  0.500  0.255
O  0.000  0.500  0.000
O  0.000  0.500  0.500
O  0.246  0.246  0.247

The 8 most intense peaks (2θ = 10–80°), sorted by position:
h k l, 2θ (°), intensity
1 0 1, 16.08, 678
2 0 0, 26.41, 1000
2 1 1, 31.07, 417
2 2 0, 37.65, 297
2 1 3, 41.22, 194
3 1 2, 46.61, 442
4 0 0, 54.37, 282
5 1 2, 74.32, 152

***

Theoretical X-ray diffraction stick pattern of Tc2O7 for λ = 1.5418 Å (Cu Kα), from a DFT-relaxed cell (GGA-PBE, the Materials Project).

Cell and atoms:
abc: 5.891 14.269 7.820
angles: 90.00 90.00 90.00
Space group Pbca (No. 61)
One atom of each set of equivalent atoms:
Tc  0.195  0.104  0.012
O  0.000  0.000  0.000
O  0.060  0.204  0.951
O  0.079  0.585  0.879
O  0.206  0.617  0.216

The 8 most intense peaks (2θ = 10–80°), sorted by position:
h k l, 2θ (°), intensity
0 2 0, 12.41, 92
1 1 1, 19.87, 117
1 2 1, 22.64, 1000
0 0 2, 22.74, 268
0 4 0, 24.96, 173
1 4 1, 31.47, 94
2 4 0, 39.68, 87
1 2 3, 39.87, 123

***

Theoretical X-ray diffraction stick pattern of V3Ga for λ = 1.5418 Å (Cu Kα), from a DFT-relaxed cell (GGA-PBE, the Materials Project).

Cell and atoms:
abc: 4.790 4.790 4.790
angles: 90.00 90.00 90.00
Space group Pm-3n (No. 223)
One atom of each set of equivalent atoms:
V  0.000  0.250  0.500
Ga  0.000  0.000  0.000

The 8 most intense peaks (2θ = 10–80°), sorted by position:
h k l, 2θ (°), intensity
1 1 0, 26.31, 78
2 0 0, 37.56, 471
2 1 0, 42.19, 864
2 1 1, 46.44, 1000
3 1 0, 61.19, 19
2 2 2, 67.78, 31
3 2 0, 70.95, 158
3 2 1, 74.06, 457

***

Theoretical X-ray diffraction stick pattern of Sr2HfO4 for λ = 1.5418 Å (Cu Kα), from a DFT-relaxed cell (GGA-PBE, the Materials Project).

Cell and atoms:
abc: 5.838 5.838 12.675
angles: 90.00 90.00 90.00
Space group P4_2/ncm (No. 138, origin choice 2)
One atom of each set of equivalent atoms:
Sr  0.014  0.014  0.148
Hf  0.000  0.000  0.500
O  0.037  0.037  0.663
O  0.250  0.250  0.479
O  0.250  0.750  0.000

The 8 most intense peaks (2θ = 10–80°), sorted by position:
h k l, 2θ (°), intensity
0 0 2, 13.97, 335
1 1 1, 22.65, 167
1 1 3, 30.27, 1000
2 0 0, 30.63, 613
1 1 5, 41.82, 171
2 2 0, 43.86, 309
2 0 6, 53.55, 205
3 1 3, 54.22, 406

***

Theoretical X-ray diffraction stick pattern of LiAg2F4 for λ = 1.5418 Å (Cu Kα), from a DFT-relaxed cell (GGA-PBE, the Materials Project).

Cell and atoms:
abc: 9.950 7.279 5.590
angles: 90.00 90.00 90.00
Space group Pnma (No. 62)
One atom of each set of equivalent atoms:
Li  0.176  0.250  0.016
Ag  0.000  0.000  0.500
Ag  0.149  0.750  0.018
F  0.108  0.039  0.178
F  0.131  0.250  0.691
F  0.136  0.750  0.592

The 8 most intense peaks (2θ = 10–80°), sorted by position:
h k l, 2θ (°), intensity
2 1 0, 21.64, 445
1 1 1, 21.95, 560
2 2 0, 30.43, 569
1 2 1, 30.66, 1000
3 0 1, 31.36, 907
0 0 2, 32.02, 367
2 1 2, 38.98, 364
4 2 0, 44.10, 356

***

Theoretical X-ray diffraction stick pattern of Nd2MgAl for λ = 1.5418 Å (Cu Kα), from a DFT-relaxed cell (GGA-PBE, the Materials Project).

Cell and atoms:
abc: 7.587 7.587 7.587
angles: 90.00 90.00 90.00
Space group Fm-3m (No. 225)
One atom of each set of equivalent atoms:
Nd  0.250  0.250  0.250
Mg  0.000  0.000  0.000
Al  0.000  0.000  0.500

The 8 most intense peaks (2θ = 10–80°), sorted by position:
h k l, 2θ (°), intensity
2 0 0, 23.45, 581
2 2 0, 33.40, 1000
2 2 2, 41.22, 179
4 0 0, 47.96, 180
4 2 0, 54.06, 245
4 2 2, 59.71, 373
6 0 0, 75.13, 116
6 2 0, 79.98, 159

***

Theoretical X-ray diffraction stick pattern of Nd2Bi7O14 for λ = 1.5418 Å (Cu Kα), from a DFT-relaxed cell (GGA-PBE, the Materials Project).

Cell and atoms:
abc: 21.006 3.972 10.733
angles: 90.00 114.33 90.00
Space group Cm (No. 8)
One atom of each set of equivalent atoms:
Nd  0.000  0.000  0.000
Nd  0.169  0.500  0.017
Bi  0.009  0.500  0.311
Bi  0.155  0.000  0.676
Bi  0.177  0.000  0.315
Bi  0.319  0.500  0.691
Bi  0.328  0.000  0.986
Bi  0.343  0.500  0.325
Bi  0.487  0.000  0.689
O  0.038  0.500  0.906
O  0.052  0.000  0.687
O  0.066  0.000  0.271
O  0.131  0.000  0.092
O  0.175  0.500  0.608
O  0.203  0.000  0.901
O  0.211  0.500  0.262
O  0.291  0.000  0.753
O  0.293  0.500  0.106
O  0.344  0.000  0.411
O  0.364  0.500  0.915
O  0.434  0.500  0.744
O  0.444  0.500  0.312
O  0.466  0.000  0.095

The 8 most intense peaks (2θ = 10–80°), sorted by position:
h k l, 2θ (°), intensity
0 0 3, 27.36, 694
6 0 0, 27.97, 620
3 1 -2, 28.70, 1000
3 1 1, 29.85, 436
6 0 -3, 30.06, 294
9 1 -2, 45.06, 462
3 1 -5, 48.45, 336
9 1 -5, 54.08, 448

***

Theoretical X-ray diffraction stick pattern of SrCaEuBiO6 for λ = 1.5418 Å (Cu Kα), from a DFT-relaxed cell (GGA-PBE, the Materials Project).

Cell and atoms:
abc: 5.983 5.983 8.689
angles: 90.00 90.00 90.00
Space group P42_12 (No. 90)
One atom of each set of equivalent atoms:
Sr  0.000  0.000  0.000
Ca  0.000  0.000  0.500
Eu  0.000  0.500  0.253
Bi  0.000  0.500  0.746
O  0.000  0.500  0.505
O  0.000  0.500  0.992
O  0.160  0.819  0.741

The 8 most intense peaks (2θ = 10–80°), sorted by position:
h k l, 2θ (°), intensity
0 0 2, 20.44, 212
1 1 0, 21.00, 352
1 1 2, 29.47, 1000
2 0 0, 29.87, 596
2 2 0, 42.75, 274
2 0 4, 52.03, 252
3 1 2, 52.77, 485
2 2 4, 61.15, 183

***

Theoretical X-ray diffraction stick pattern of BaHfO3 for λ = 1.5418 Å (Cu Kα), from a DFT-relaxed cell (GGA-PBE, the Materials Project).

Cell and atoms:
abc: 4.204 4.204 4.204
angles: 90.00 90.00 90.00
Space group Pm-3m (No. 221)
One atom of each set of equivalent atoms:
Ba  0.000  0.000  0.000
Hf  0.500  0.500  0.500
O  0.000  0.500  0.500

The 8 most intense peaks (2θ = 10–80°), sorted by position:
h k l, 2θ (°), intensity
1 0 0, 21.13, 54
1 1 0, 30.06, 1000
2 0 0, 43.03, 280
2 1 0, 48.41, 24
2 1 1, 53.38, 410
2 2 0, 62.48, 178
3 1 0, 70.88, 180
2 2 2, 78.86, 60

***

Theoretical X-ray diffraction stick pattern of BaMg6BiO8 for λ = 1.5418 Å (Cu Kα), from a DFT-relaxed cell (GGA-PBE, the Materials Project).

Cell and atoms:
abc: 4.730 4.730 9.687
angles: 90.00 90.00 90.00
Space group P4/mmm (No. 123)
One atom of each set of equivalent atoms:
Ba  0.000  0.000  0.000
Mg  0.000  0.000  0.500
Mg  0.000  0.500  0.293
Mg  0.500  0.500  0.500
Bi  0.500  0.500  0.000
O  0.000  0.000  0.288
O  0.000  0.500  0.000
O  0.000  0.500  0.500
O  0.500  0.500  0.291

The 8 most intense peaks (2θ = 10–80°), sorted by position:
h k l, 2θ (°), intensity
0 0 2, 18.32, 754
1 1 0, 26.65, 532
0 0 3, 27.63, 501
1 1 1, 28.23, 992
1 1 2, 32.53, 967
2 0 0, 38.05, 1000
2 0 3, 47.66, 439
2 0 4, 54.21, 510

***

Theoretical X-ray diffraction stick pattern of Sb for λ = 1.5418 Å (Cu Kα), from a DFT-relaxed cell (GGA-PBE, the Materials Project).

Cell and atoms:
abc: 8.214 8.214 4.057
angles: 90.00 90.00 90.00
Space group I4/mcm (No. 140)
One atom of each set of equivalent atoms:
Sb  0.150  0.350  0.000

The 8 most intense peaks (2θ = 10–80°), sorted by position:
h k l, 2θ (°), intensity
1 1 0, 15.25, 328
2 0 0, 21.64, 118
2 1 1, 32.89, 1000
3 1 0, 34.53, 231
4 0 0, 44.10, 121
3 3 0, 46.93, 127
4 1 1, 51.08, 109
5 2 1, 65.36, 203

***

What is the formula in the sixth record? Nd2MgAl